1.
This entry pairs a crystal structure of SrLa2NiO5 with its theoretical XRD peak list. Radiation: a wavelength of 1.5418 Å. Structure: a DFT-relaxed cell (PBE+U, Alexandria).
Lines closer than 0.1° are merged.

Crystal structure
a = 6.7933 Å, b = 6.7933 Å, c = 5.7398 Å
α = 90.00°, β = 90.00°, γ = 90.00°
Positions (direct):
Sr (0.0000, 0.0000, 0.0000)
Sr (0.5000, 0.5000, 0.0000)
La (0.1749, 0.3251, 0.5000)
La (0.3251, 0.8251, 0.5000)
La (0.6749, 0.1749, 0.5000)
La (0.8251, 0.6749, 0.5000)
Ni (0.0000, 0.5000, 0.0000)
Ni (0.5000, 0.0000, 0.0000)
O (0.0000, 0.0000, 0.5000)
O (0.1389, 0.6389, 0.2317)
O (0.1389, 0.6389, 0.7683)
O (0.3611, 0.1389, 0.2317)
O (0.3611, 0.1389, 0.7683)
O (0.5000, 0.5000, 0.5000)
O (0.6389, 0.8611, 0.2317)
O (0.6389, 0.8611, 0.7683)
O (0.8611, 0.3611, 0.2317)
O (0.8611, 0.3611, 0.7683)

Principal peaks in the range 2θ = 10–90°, in order of rising 2θ:
- d = 5.740 Å, 2θ 15.4, I = 24
- d = 3.038 Å, 2θ 29.4, I = 26
- d = 2.923 Å, 2θ 30.6, I = 100
- d = 2.870 Å, 2θ 31.2, I = 39
- d = 2.685 Å, 2θ 33.4, I = 75
- d = 2.402 Å, 2θ 37.4, I = 23
- d = 2.086 Å, 2θ 43.4, I = 52
- d = 1.842 Å, 2θ 49.5, I = 20
- d = 1.667 Å, 2θ 55.1, I = 19
- d = 1.584 Å, 2θ 58.3, I = 20



2.
This entry pairs a crystal structure of Sr3LaNi2O8 with its theoretical XRD peak list. Radiation: a wavelength of 1.5418 Å. Structure: a DFT-relaxed cell (PBE+U, Alexandria).
Lines closer than 0.1° are merged.

Crystal structure
a = 5.4751 Å, b = 6.7765 Å, c = 6.7765 Å
α = 47.67°, β = 90.00°, γ = 90.00°
Positions (direct):
Sr (0.0000, 0.0000, 0.0000)
Sr (0.0000, 0.2804, 0.2804)
Sr (0.5000, 0.7838, 0.7838)
La (0.5000, 0.5035, 0.5035)
Ni (0.0000, 0.6426, 0.6426)
Ni (0.5000, 0.1447, 0.1447)
O (0.0000, 0.4812, 0.4812)
O (0.0000, 0.7995, 0.7995)
O (0.2545, 0.3938, 0.8830)
O (0.2545, 0.8830, 0.3938)
O (0.5000, 0.3104, 0.3104)
O (0.5000, 0.9833, 0.9833)
O (0.7455, 0.3938, 0.8830)
O (0.7455, 0.8830, 0.3938)

Principal peaks in the range 2θ = 10–90°, in order of rising 2θ:
- d = 2.826 Å, 2θ 31.7, I = 100
- d = 2.738 Å, 2θ 32.7, I = 75
- d = 2.088 Å, 2θ 43.3, I = 19
- d = 2.066 Å, 2θ 43.8, I = 13
- d = 2.052 Å, 2θ 44.1, I = 27
- d = 1.936 Å, 2θ 46.9, I = 41
- d = 1.649 Å, 2θ 55.7, I = 14
- d = 1.597 Å, 2θ 57.7, I = 37
- d = 1.413 Å, 2θ 66.1, I = 13
- d = 1.369 Å, 2θ 68.5, I = 12



3.
This entry pairs a crystal structure of La2Ti3NiO10 with its theoretical XRD peak list. Radiation: a wavelength of 1.5418 Å. Structure: a DFT-relaxed cell (PBE+U, Alexandria).
Lines closer than 0.1° are merged.

Crystal structure
a = 13.6153 Å, b = 13.6153 Å, c = 13.6153 Å
α = 163.73°, β = 163.73°, γ = 23.08°
Positions (direct):
La (0.0819, 0.0819, 0.0000)
La (0.9181, 0.9181, 0.0000)
Ti (0.3403, 0.3403, 0.0000)
Ti (0.5000, 0.5000, 0.0000)
Ti (0.6597, 0.6597, 0.0000)
Ni (0.7500, 0.2500, 0.5000)
O (0.1423, 0.6423, 0.5000)
O (0.2724, 0.2724, 0.0000)
O (0.3577, 0.8577, 0.5000)
O (0.4269, 0.4269, 0.0000)
O (0.5006, 0.0006, 0.5000)
O (0.5731, 0.5731, 0.0000)
O (0.6447, 0.1447, 0.5000)
O (0.7276, 0.7276, 0.0000)
O (0.8553, 0.3553, 0.5000)
O (0.9994, 0.4994, 0.5000)

Principal peaks in the range 2θ = 10–90°, in order of rising 2θ:
- d = 3.813 Å, 2θ 23.3, I = 24
- d = 3.123 Å, 2θ 28.6, I = 100
- d = 2.724 Å, 2θ 32.9, I = 35
- d = 2.709 Å, 2θ 33.1, I = 65
- d = 2.223 Å, 2θ 40.6, I = 25
- d = 2.110 Å, 2θ 42.9, I = 25
- d = 1.926 Å, 2θ 47.2, I = 50
- d = 1.640 Å, 2θ 56.1, I = 29
- d = 1.570 Å, 2θ 58.8, I = 25
- d = 1.456 Å, 2θ 63.9, I = 24



4.
This entry pairs a crystal structure of LaTiNiO4 with its theoretical XRD peak list. Radiation: a wavelength of 1.5418 Å. Structure: a DFT-relaxed cell (PBE+U, Alexandria).
Lines closer than 0.1° are merged.

Crystal structure
a = 3.8301 Å, b = 3.8301 Å, c = 12.3119 Å
α = 90.00°, β = 90.00°, γ = 90.00°
Positions (direct):
La (0.2500, 0.2500, 0.1156)
La (0.7500, 0.7500, 0.8844)
Ti (0.2500, 0.2500, 0.7147)
Ti (0.7500, 0.7500, 0.2853)
Ni (0.2500, 0.7500, 0.5000)
Ni (0.7500, 0.2500, 0.5000)
O (0.2500, 0.2500, 0.5657)
O (0.2500, 0.2500, 0.9241)
O (0.2500, 0.7500, 0.2485)
O (0.2500, 0.7500, 0.7515)
O (0.7500, 0.2500, 0.2485)
O (0.7500, 0.2500, 0.7515)
O (0.7500, 0.7500, 0.0759)
O (0.7500, 0.7500, 0.4343)

Principal peaks in the range 2θ = 10–90°, in order of rising 2θ:
- d = 4.104 Å, 2θ 21.7, I = 26
- d = 3.252 Å, 2θ 27.4, I = 100
- d = 2.800 Å, 2θ 32.0, I = 38
- d = 2.708 Å, 2θ 33.1, I = 18
- d = 2.645 Å, 2θ 33.9, I = 58
- d = 2.462 Å, 2θ 36.5, I = 26
- d = 2.033 Å, 2θ 44.6, I = 47
- d = 1.915 Å, 2θ 47.5, I = 43
- d = 1.650 Å, 2θ 55.7, I = 27
- d = 1.512 Å, 2θ 61.3, I = 22